1.
Calculated powder XRD pattern of Sr3PrMn4O12 for Cu Kα, from the PBE+U geometry in the Materials Project.
Intensities are scaled so that the largest is 100.

The 10 most intense peaks (15° ≤ 2θ ≤ 90°), by angle:
2θ = 32.45°, d = 2.759 Å, I 100
2θ = 32.82°, d = 2.729 Å, I 52
2θ = 40.18°, d = 2.245 Å, I 23
2θ = 45.98°, d = 1.974 Å, I 20
2θ = 47.10°, d = 1.929 Å, I 34
2θ = 57.64°, d = 1.599 Å, I 20
2θ = 58.36°, d = 1.581 Å, I 40
2θ = 67.94°, d = 1.380 Å, I 20
2θ = 68.82°, d = 1.364 Å, I 9
2θ = 86.78°, d = 1.122 Å, I 10

Cell and atoms:
Cell: 7.715 5.521 5.521 Å, 88.72 90.00 90.00°
Atoms (fractional coordinates):
1 Sr 0.000 0.000 0.000
2 Sr 0.000 0.494 0.494
3 Sr 0.500 0.498 0.498
4 Pr 0.500 0.005 0.005
5 Mn 0.250 0.499 0.998
6 Mn 0.250 0.998 0.499
7 Mn 0.750 0.499 0.998
8 Mn 0.750 0.998 0.499
9 O 0.000 0.530 0.963
10 O 0.000 0.963 0.530
11 O 0.220 0.249 0.249
12 O 0.260 0.243 0.753
13 O 0.260 0.753 0.243
14 O 0.293 0.756 0.756
15 O 0.500 0.031 0.453
16 O 0.500 0.453 0.031
17 O 0.707 0.756 0.756
18 O 0.740 0.243 0.753
19 O 0.740 0.753 0.243
20 O 0.780 0.249 0.249

2.
Calculated powder XRD pattern of Fe6O11F for Cu Kα, from the PBE+U geometry in the Materials Project.
Intensities are scaled so that the largest is 100.

The 10 most intense peaks (15° ≤ 2θ ≤ 90°), by angle:
2θ = 26.87°, d = 3.318 Å, I 99
2θ = 27.58°, d = 3.234 Å, I 96
2θ = 35.81°, d = 2.507 Å, I 100
2θ = 38.89°, d = 2.316 Å, I 21
2θ = 53.49°, d = 1.713 Å, I 58
2θ = 54.29°, d = 1.690 Å, I 56
2θ = 55.38°, d = 1.659 Å, I 16
2θ = 56.94°, d = 1.617 Å, I 15
2θ = 62.27°, d = 1.491 Å, I 15
2θ = 68.43°, d = 1.371 Å, I 30

Cell and atoms:
Cell: 4.634 5.508 7.555 Å, 84.91 89.08 88.78°
Atoms (fractional coordinates):
1 Fe 0.000 0.000 0.000
2 Fe 0.001 0.670 0.336
3 Fe 0.020 0.345 0.675
4 Fe 0.489 0.167 0.326
5 Fe 0.496 0.826 0.671
6 Fe 0.506 0.502 0.003
7 O 0.191 0.036 0.769
8 O 0.195 0.376 0.439
9 O 0.195 0.710 0.106
10 O 0.306 0.213 0.096
11 O 0.314 0.879 0.439
12 O 0.317 0.532 0.781
13 O 0.688 0.462 0.228
14 O 0.694 0.788 0.902
15 O 0.808 0.965 0.233
16 O 0.810 0.290 0.898
17 O 0.813 0.632 0.567
18 F 0.700 0.138 0.567

3.
Calculated powder XRD pattern of RbInW2O8 for Cu Kα, from the PBE+U geometry in the Materials Project.
Intensities are scaled so that the largest is 100.

The 10 most intense peaks (15° ≤ 2θ ≤ 90°), by angle:
2θ = 20.50°, d = 4.332 Å, I 100
2θ = 28.40°, d = 3.142 Å, I 49
2θ = 29.89°, d = 2.989 Å, I 52
2θ = 36.52°, d = 2.460 Å, I 12
2θ = 38.32°, d = 2.349 Å, I 14
2θ = 41.70°, d = 2.166 Å, I 20
2θ = 47.88°, d = 1.900 Å, I 21
2θ = 52.15°, d = 1.754 Å, I 19
2θ = 55.75°, d = 1.649 Å, I 18
2θ = 69.67°, d = 1.350 Å, I 12

Cell and atoms:
Cell: 5.979 5.979 7.907 Å, 90.00 90.00 120.00°
Atoms (fractional coordinates):
1 Rb 0.000 0.000 0.000
2 In 0.000 0.000 0.500
3 W 0.333 0.667 0.736
4 W 0.667 0.333 0.264
5 O 0.165 0.331 0.665
6 O 0.165 0.835 0.665
7 O 0.331 0.165 0.335
8 O 0.333 0.667 0.960
9 O 0.667 0.333 0.040
10 O 0.669 0.835 0.665
11 O 0.835 0.165 0.335
12 O 0.835 0.669 0.335

4.
Calculated powder XRD pattern of LiCo5O3F5 for Cu Kα, from the PBE+U geometry in the Materials Project.
Intensities are scaled so that the largest is 100.

The 10 most intense peaks (15° ≤ 2θ ≤ 90°), by angle:
2θ = 28.88°, d = 3.092 Å, I 70
2θ = 29.24°, d = 3.055 Å, I 46
2θ = 33.98°, d = 2.638 Å, I 42
2θ = 34.14°, d = 2.626 Å, I 39
2θ = 34.56°, d = 2.596 Å, I 72
2θ = 34.68°, d = 2.587 Å, I 100
2θ = 42.02°, d = 2.150 Å, I 36
2θ = 55.23°, d = 1.663 Å, I 39
2θ = 59.83°, d = 1.546 Å, I 35
2θ = 60.60°, d = 1.528 Å, I 64

Cell and atoms:
Cell: 6.116 6.116 6.109 Å, 119.21 119.21 59.34°
Atoms (fractional coordinates):
1 Li 0.000 0.000 0.000
2 Co 0.006 0.479 0.482
3 Co 0.333 0.333 0.075
4 Co 0.479 0.006 0.482
5 Co 0.638 0.638 0.926
6 Co 0.991 0.991 0.490
7 O 0.215 0.215 0.688
8 O 0.225 0.225 0.239
9 O 0.765 0.765 0.304
10 F 0.225 0.743 0.223
11 F 0.237 0.747 0.755
12 F 0.743 0.225 0.223
13 F 0.747 0.237 0.755
14 F 0.752 0.752 0.749

5.
Calculated powder XRD pattern of Ba3In2WO9 for Cu Kα, from the PBE+U geometry in the Materials Project.
Intensities are scaled so that the largest is 100.

The 10 most intense peaks (15° ≤ 2θ ≤ 90°), by angle:
2θ = 21.02°, d = 4.227 Å, I 3
2θ = 29.89°, d = 2.989 Å, I 100
2θ = 42.78°, d = 2.114 Å, I 29
2θ = 53.05°, d = 1.726 Å, I 29
2θ = 53.11°, d = 1.725 Å, I 10
2θ = 62.11°, d = 1.495 Å, I 17
2θ = 70.44°, d = 1.337 Å, I 17
2θ = 78.40°, d = 1.220 Å, I 4
2θ = 85.94°, d = 1.131 Å, I 4
2θ = 86.10°, d = 1.129 Å, I 16

Cell and atoms:
Cell: 5.974 5.974 7.332 Å, 90.00 90.00 120.00°
Atoms (fractional coordinates):
1 Ba 0.000 0.000 0.000
2 Ba 0.333 0.667 0.689
3 Ba 0.667 0.333 0.311
4 In 0.333 0.667 0.167
5 In 0.667 0.333 0.833
6 W 0.000 0.000 0.500
7 O 0.000 0.500 0.000
8 O 0.156 0.312 0.347
9 O 0.156 0.844 0.347
10 O 0.312 0.156 0.653
11 O 0.500 0.000 0.000
12 O 0.500 0.500 0.000
13 O 0.688 0.844 0.347
14 O 0.844 0.156 0.653
15 O 0.844 0.688 0.653

6.
Calculated powder XRD pattern of Co2C2O7 for Cu Kα, from the PBE+U geometry in the Materials Project.
Intensities are scaled so that the largest is 100.

The 10 most intense peaks (15° ≤ 2θ ≤ 90°), by angle:
2θ = 21.18°, d = 4.195 Å, I 89
2θ = 21.33°, d = 4.166 Å, I 43
2θ = 21.62°, d = 4.110 Å, I 100
2θ = 29.82°, d = 2.997 Å, I 14
2θ = 30.55°, d = 2.926 Å, I 13
2θ = 31.07°, d = 2.878 Å, I 12
2θ = 37.04°, d = 2.427 Å, I 10
2θ = 37.30°, d = 2.411 Å, I 20
2θ = 43.12°, d = 2.098 Å, I 19
2θ = 44.02°, d = 2.057 Å, I 11

Cell and atoms:
Cell: 8.396 8.396 8.229 Å, 92.32 92.32 59.50°
Atoms (fractional coordinates):
1 Co 0.000 0.000 0.216
2 Co 0.000 0.000 0.784
3 Co 0.337 0.328 0.763
4 Co 0.337 0.339 0.329
5 Co 0.661 0.663 0.671
6 Co 0.672 0.663 0.237
7 C 0.000 0.658 0.768
8 C 0.002 0.664 0.230
9 C 0.336 0.998 0.770
10 C 0.342 0.000 0.232
11 C 0.661 0.332 0.232
12 C 0.668 0.339 0.768
13 O 0.070 0.763 0.290
14 O 0.098 0.486 0.233
15 O 0.165 0.572 0.835
16 O 0.177 0.068 0.285
17 O 0.237 0.930 0.710
18 O 0.259 0.165 0.832
19 O 0.332 0.332 0.543
20 O 0.425 0.093 0.245
21 O 0.428 0.835 0.165
22 O 0.483 0.420 0.231
23 O 0.514 0.902 0.767
24 O 0.580 0.517 0.769
25 O 0.586 0.256 0.823
26 O 0.668 0.668 0.457
27 O 0.744 0.414 0.177
28 O 0.756 0.167 0.286
29 O 0.833 0.244 0.714
30 O 0.835 0.741 0.168
31 O 0.907 0.575 0.755
32 O 0.932 0.823 0.715
33 O 0.997 0.003 0.000

7.
Calculated powder XRD pattern of MoPO7 for Cu Kα, from the PBE+U geometry in the Materials Project.
Intensities are scaled so that the largest is 100.

The 10 most intense peaks (15° ≤ 2θ ≤ 90°), by angle:
2θ = 15.44°, d = 5.738 Å, I 100
2θ = 18.69°, d = 4.748 Å, I 19
2θ = 19.79°, d = 4.486 Å, I 27
2θ = 22.34°, d = 3.980 Å, I 11
2θ = 25.64°, d = 3.474 Å, I 22
2θ = 26.25°, d = 3.395 Å, I 22
2θ = 27.43°, d = 3.252 Å, I 37
2θ = 31.62°, d = 2.829 Å, I 14
2θ = 32.00°, d = 2.797 Å, I 10
2θ = 43.78°, d = 2.068 Å, I 10

Cell and atoms:
Cell: 6.622 6.504 7.426 Å, 90.00 110.65 90.00°
Atoms (fractional coordinates):
1 Mo 0.185 0.250 0.247
2 Mo 0.815 0.750 0.753
3 P 0.347 0.750 0.370
4 P 0.653 0.250 0.630
5 O 0.086 0.750 0.791
6 O 0.204 0.250 0.024
7 O 0.213 0.559 0.294
8 O 0.213 0.941 0.294
9 O 0.257 0.250 0.616
10 O 0.461 0.250 0.741
11 O 0.476 0.750 0.583
12 O 0.524 0.250 0.417
13 O 0.539 0.750 0.259
14 O 0.743 0.750 0.384
15 O 0.787 0.059 0.706
16 O 0.787 0.441 0.706
17 O 0.796 0.750 0.976
18 O 0.914 0.250 0.209

8.
Calculated powder XRD pattern of LiFeF5 for Cu Kα, from the PBE+U geometry in the Materials Project.
Intensities are scaled so that the largest is 100.

The 10 most intense peaks (15° ≤ 2θ ≤ 90°), by angle:
2θ = 17.59°, d = 5.043 Å, I 44
2θ = 19.56°, d = 4.538 Å, I 67
2θ = 20.97°, d = 4.236 Å, I 51
2θ = 21.12°, d = 4.206 Å, I 51
2θ = 22.67°, d = 3.923 Å, I 86
2θ = 24.20°, d = 3.677 Å, I 100
2θ = 27.64°, d = 3.227 Å, I 79
2θ = 34.18°, d = 2.623 Å, I 39
2θ = 42.39°, d = 2.132 Å, I 60
2θ = 51.98°, d = 1.759 Å, I 47

Cell and atoms:
Cell: 13.516 5.374 10.872 Å, 90.00 90.00 90.00°
Atoms (fractional coordinates):
1 Li 0.059 0.250 0.100
2 Li 0.190 0.750 0.633
3 Li 0.310 0.250 0.133
4 Li 0.441 0.750 0.600
5 Li 0.559 0.250 0.400
6 Li 0.690 0.750 0.867
7 Li 0.810 0.250 0.367
8 Li 0.941 0.750 0.900
9 Fe 0.051 0.750 0.328
10 Fe 0.206 0.750 0.939
11 Fe 0.294 0.250 0.439
12 Fe 0.449 0.250 0.828
13 Fe 0.551 0.750 0.172
14 Fe 0.706 0.750 0.561
15 Fe 0.794 0.250 0.061
16 Fe 0.949 0.250 0.672
17 F 0.056 0.516 0.209
18 F 0.056 0.984 0.209
19 F 0.069 0.750 0.964
20 F 0.083 0.250 0.651
21 F 0.091 0.520 0.435
22 F 0.091 0.980 0.435
23 F 0.212 0.525 0.817
24 F 0.212 0.975 0.817
25 F 0.227 0.507 0.053
26 F 0.227 0.993 0.053
27 F 0.273 0.007 0.553
28 F 0.273 0.493 0.553
29 F 0.288 0.025 0.317
30 F 0.288 0.475 0.317
31 F 0.409 0.020 0.935
32 F 0.409 0.480 0.935
33 F 0.417 0.750 0.151
34 F 0.431 0.250 0.464
35 F 0.444 0.016 0.709
36 F 0.444 0.484 0.709
37 F 0.556 0.516 0.291
38 F 0.556 0.984 0.291
39 F 0.569 0.750 0.536
40 F 0.583 0.250 0.849
41 F 0.591 0.520 0.065
42 F 0.591 0.980 0.065
43 F 0.712 0.525 0.683
44 F 0.712 0.975 0.683
45 F 0.727 0.507 0.447
46 F 0.727 0.993 0.447
47 F 0.773 0.007 0.947
48 F 0.773 0.493 0.947
49 F 0.788 0.025 0.183
50 F 0.788 0.475 0.183
51 F 0.909 0.020 0.565
52 F 0.909 0.480 0.565
53 F 0.917 0.750 0.349
54 F 0.931 0.250 0.036
55 F 0.944 0.016 0.791
56 F 0.944 0.484 0.791